(1)
Structure and theoretical X-ray diffraction stick pattern of U2B9O22 (a GGA-PBE-relaxed structure; Cu Ka).
Intensities are scaled so that the largest is 100.

The 8 most intense peaks (2θ from 5° to 70°), low angle first:
2θ/deg, intensity
16.10, 100
16.38, 43
18.64, 34
18.91, 27
21.05, 25
27.29, 24
27.37, 23
31.80, 32

Crystal structure
```
data_U2B9O22
_chemical_formula_sum 'U2 B9 O22'
_cell_length_a 6.526
_cell_length_b 6.582
_cell_length_c 11.194
_cell_angle_alpha 97.25
_cell_angle_beta 92.91
_cell_angle_gamma 119.67
_symmetry_space_group_name_H-M 'P 1'
_symmetry_Int_Tables_number 1
_symmetry_space_group_name_Hall 'P 1'
loop_
_atom_site_label
_atom_site_fract_x
_atom_site_fract_y
_atom_site_fract_z
U1 0.000 0.000 0.000
U2 0.254 0.494 0.548
B1 0.324 0.662 0.999
B2 0.373 0.098 0.591
B3 0.520 0.102 0.053
B4 0.600 0.514 0.062
B5 0.619 0.137 0.299
B6 0.655 0.983 0.482
B7 0.741 0.387 0.503
B8 0.875 0.390 0.957
B9 0.925 0.828 0.542
O1 0.029 0.058 0.162
O2 0.122 0.441 0.982
O3 0.130 0.050 0.562
O4 0.212 0.427 0.387
O5 0.299 0.563 0.711
O6 0.310 0.864 0.000
O7 0.420 0.916 0.532
O8 0.429 0.101 0.719
O9 0.429 0.263 0.027
O10 0.523 0.334 0.560
O11 0.545 0.682 0.016
O12 0.581 0.115 0.178
O13 0.606 0.953 0.351
O14 0.643 0.577 0.195
O15 0.672 0.348 0.373
O16 0.706 0.805 0.518
O17 0.731 0.157 0.989
O18 0.830 0.231 0.535
O19 0.831 0.400 0.829
O20 0.834 0.574 0.020
O21 0.942 0.628 0.546
O22 0.965 0.938 0.838
```

(2)
Structure and theoretical X-ray diffraction stick pattern of UB12O13 (a GGA-PBE-relaxed structure; Cu Ka).
Intensities are scaled so that the largest is 100.

The 8 most intense peaks (2θ from 5° to 70°), low angle first:
2θ/deg, intensity
13.96, 100
17.03, 16
19.48, 13
20.56, 28
20.70, 26
21.42, 15
28.08, 19
31.14, 14

Crystal structure
```
data_UB12O13
_chemical_formula_sum 'U2 B24 O26'
_cell_length_a 10.416
_cell_length_b 9.114
_cell_length_c 9.750
_cell_angle_alpha 90.00
_cell_angle_beta 121.68
_cell_angle_gamma 90.00
_symmetry_space_group_name_H-M 'C 1 m 1'
_symmetry_Int_Tables_number 8
_symmetry_space_group_name_Hall 'C -2y'
loop_
_atom_site_label
_atom_site_fract_x
_atom_site_fract_y
_atom_site_fract_z
U1 0.000 0.000 0.000
B1 0.018 0.096 0.533
B2 0.105 0.000 0.736
B3 0.169 0.170 0.805
B4 0.184 0.500 0.285
B5 0.186 0.130 0.532
B6 0.318 0.350 0.494
B7 0.421 0.500 0.606
B8 0.479 0.500 0.357
O1 0.008 0.500 0.542
O2 0.017 0.500 0.420
O3 0.187 0.301 0.834
O4 0.206 0.362 0.314
O5 0.214 0.000 0.102
O6 0.239 0.000 0.503
O7 0.272 0.250 0.563
O8 0.429 0.500 0.210
O9 0.495 0.300 0.999
```

(3)
Structure and theoretical X-ray diffraction stick pattern of YBO3 (a GGA-PBE-relaxed structure; Cu Ka).
Intensities are scaled so that the largest is 100.

The 8 most intense peaks (2θ from 5° to 70°), low angle first:
2θ/deg, intensity
20.96, 51
24.00, 87
27.53, 35
32.08, 100
46.60, 35
49.55, 39
51.58, 49
53.99, 28

Crystal structure
```
data_YBO3
_chemical_formula_sum 'Y4 B4 O12'
_cell_length_a 6.481
_cell_length_b 8.476
_cell_length_c 4.520
_cell_angle_alpha 90.00
_cell_angle_beta 90.00
_cell_angle_gamma 90.00
_symmetry_space_group_name_H-M 'P n m a'
_symmetry_Int_Tables_number 62
_symmetry_space_group_name_Hall '-P 2ac 2n'
loop_
_atom_site_label
_atom_site_fract_x
_atom_site_fract_y
_atom_site_fract_z
Y1 0.000 0.000 0.000
B1 0.133 0.250 0.463
O1 0.043 0.250 0.187
O2 0.178 0.106 0.597
```

(4)
Structure and theoretical X-ray diffraction stick pattern of YB6O12 (a GGA-PBE-relaxed structure; Cu Ka).
Intensities are scaled so that the largest is 100.

The 8 most intense peaks (2θ from 5° to 70°), low angle first:
2θ/deg, intensity
14.68, 100
25.55, 20
29.62, 17
33.23, 21
36.45, 23
45.07, 21
47.68, 14
50.11, 13

Crystal structure
```
data_YB6O12
_chemical_formula_sum 'Y6 B36 O72'
_cell_length_a 8.5445
_cell_length_b 8.5445
_cell_length_c 20.8310
_cell_angle_alpha 90.00
_cell_angle_beta 90.00
_cell_angle_gamma 120.00
_symmetry_space_group_name_H-M 'R 3 c'
_symmetry_Int_Tables_number 161
_symmetry_space_group_name_Hall 'R 3 -2"c'
loop_
_atom_site_label
_atom_site_fract_x
_atom_site_fract_y
_atom_site_fract_z
Y1 0.0000 0.0000 0.0000
B1 0.0062 0.2953 0.0824
B2 0.0958 0.4143 0.2978
O1 0.0022 0.4705 0.4619
O2 0.0625 0.2427 0.4304
O3 0.0785 0.3529 0.6813
O4 0.0879 0.2247 0.5820
```

(5)
Structure and theoretical X-ray diffraction stick pattern of Zn2BO4 (a GGA-PBE-relaxed structure; Cu Ka).
Intensities are scaled so that the largest is 100.

The 8 most intense peaks (2θ from 5° to 70°), low angle first:
2θ/deg, intensity
21.21, 41
30.21, 24
33.70, 100
34.30, 21
34.48, 40
44.67, 21
56.62, 23
57.31, 22

Crystal structure
```
data_Zn2BO4
_chemical_formula_sum 'Zn8 B4 O16'
_cell_length_a 9.464
_cell_length_b 3.216
_cell_length_c 9.342
_cell_angle_alpha 90.00
_cell_angle_beta 90.00
_cell_angle_gamma 90.00
_symmetry_space_group_name_H-M 'P n m a'
_symmetry_Int_Tables_number 62
_symmetry_space_group_name_Hall '-P 2ac 2n'
loop_
_atom_site_label
_atom_site_fract_x
_atom_site_fract_y
_atom_site_fract_z
Zn1 0.105 0.250 0.191
Zn2 0.121 0.250 0.570
B1 0.164 0.250 0.877
O1 0.012 0.250 0.385
O2 0.019 0.250 0.871
O3 0.230 0.250 0.009
O4 0.243 0.250 0.751
```

(6)
Structure and theoretical X-ray diffraction stick pattern of ZnBO3 (a GGA-PBE-relaxed structure; Cu Ka).
Intensities are scaled so that the largest is 100.

The 6 most intense peaks (2θ from 5° to 70°), low angle first:
2θ/deg, intensity
26.38, 59
37.65, 92
46.56, 100
54.30, 56
61.35, 27
67.96, 32

Crystal structure
```
data_ZnBO3
_chemical_formula_sum 'Zn1 B1 O3'
_cell_length_a 3.379
_cell_length_b 3.379
_cell_length_c 3.379
_cell_angle_alpha 90.00
_cell_angle_beta 90.00
_cell_angle_gamma 90.00
_symmetry_space_group_name_H-M 'P m -3 m'
_symmetry_Int_Tables_number 221
_symmetry_space_group_name_Hall '-P 4 2 3'
loop_
_atom_site_label
_atom_site_fract_x
_atom_site_fract_y
_atom_site_fract_z
Zn1 0.000 0.000 0.000
B1 0.500 0.500 0.500
O1 0.000 0.500 0.500
```

(7)
Structure and theoretical X-ray diffraction stick pattern of Zn3B2O6 (a GGA-PBE-relaxed structure; Cu Ka).
Intensities are scaled so that the largest is 100.

The 8 most intense peaks (2θ from 5° to 70°), low angle first:
2θ/deg, intensity
20.72, 31
21.30, 50
26.03, 77
27.27, 100
29.49, 30
35.29, 43
35.43, 39
36.53, 40

Crystal structure
```
data_Zn3B2O6
_chemical_formula_sum 'Zn24 B16 O48'
_cell_length_a 24.561
_cell_length_b 5.086
_cell_length_c 8.483
_cell_angle_alpha 90.00
_cell_angle_beta 103.46
_cell_angle_gamma 90.00
_symmetry_space_group_name_H-M 'C 1 2/c 1'
_symmetry_Int_Tables_number 15
_symmetry_space_group_name_Hall '-C 2yc'
loop_
_atom_site_label
_atom_site_fract_x
_atom_site_fract_y
_atom_site_fract_z
Zn1 0.049 0.175 0.175
Zn2 0.127 0.317 0.880
Zn3 0.210 0.309 0.212
B1 0.065 0.324 0.537
B2 0.187 0.185 0.520
O1 0.036 0.200 0.399
O2 0.080 0.181 0.680
O3 0.081 0.413 0.040
O4 0.164 0.325 0.380
O5 0.184 0.087 0.020
O6 0.216 0.313 0.660
```

(8)
Structure and theoretical X-ray diffraction stick pattern of ZnB4O7 (a GGA-PBE-relaxed structure; Cu Ka).
Intensities are scaled so that the largest is 100.

The 8 most intense peaks (2θ from 5° to 70°), low angle first:
2θ/deg, intensity
23.26, 63
27.24, 29
31.87, 89
32.98, 100
45.82, 37
47.22, 31
47.56, 33
48.25, 53

Crystal structure
```
data_ZnB4O7
_chemical_formula_sum 'Zn4 B16 O28'
_cell_length_a 10.914
_cell_length_b 6.549
_cell_length_c 5.221
_cell_angle_alpha 90.00
_cell_angle_beta 90.00
_cell_angle_gamma 90.00
_symmetry_space_group_name_H-M 'C m c m'
_symmetry_Int_Tables_number 63
_symmetry_space_group_name_Hall '-C 2c 2'
loop_
_atom_site_label
_atom_site_fract_x
_atom_site_fract_y
_atom_site_fract_z
Zn1 0.000 0.234 0.250
B1 0.118 0.193 0.750
B2 0.202 0.500 0.000
O1 0.000 0.080 0.750
O2 0.128 0.318 0.523
O3 0.220 0.025 0.750
```